The following is a computed XRD peak list of La3OsAu2. It was derived from a cell relaxed with GGA-PBE, using Cu Ka.
Kinematic intensities with the Lorentz-polarization factor, no thermal factor.

Crystal structure
```
La3OsAu2
1.0
5.2432 0.0000 0.0000
0.0000 7.5812 0.0000
-2.6205 0.0000 7.7145
La Os Au
6 2 4
Cartesian
0.0000 1.7678 0.0000
0.0000 5.8134 0.0000
0.0017 1.7541 5.0362
0.0017 5.8272 5.0362
2.6209 1.7541 2.6783
2.6209 5.8272 2.6783
-0.0115 0.0000 2.5827
2.6342 0.0000 5.1318
0.0028 3.7906 2.5031
2.6216 0.0000 0.0000
2.6216 3.7906 0.0000
2.6198 3.7906 5.2114
```

Principal peaks in the range 2θ from 10° to 80°, low angle first:
Position (°2θ)	intensity	hkl
24.2	3.5	1 0 1
34.0	100.0	1 2 1
34.2	25.3	2 0 -1
34.9	23.4	0 0 3
48.0	9.0	0 4 0
49.7	17.4	2 0 2
60.3	9.2	2 4 -1
60.7	8.8	0 4 3
61.1	18.8	3 2 0
62.0	17.0	1 2 4
71.6	10.8	2 4 2
72.0	3.0	4 0 -2